Entry 1:
Starting from a GGA-PBE-relaxed structure, the XRD peak list of Li15Cd4Cu was calculated for Cu Kα, 1.54184 Å.
Peak positions follow from Bragg's law for the DFT cell and can differ from measured ones.

Largest 12 diffraction maxima, by intensity, 10 to 90 degrees two-theta:
2θ = 21.73°, intensity 100; 2θ = 30.24°, intensity 85; 2θ = 37.55°, intensity 68; 2θ = 20.78°, intensity 54; 2θ = 30.93°, intensity 41; 2θ = 54.58°, intensity 31; 2θ = 44.31°, intensity 22; 2θ = 48.02°, intensity 21; 2θ = 49.41°, intensity 21; 2θ = 49.87°, intensity 21; 2θ = 77.05°, intensity 15; 2θ = 53.29°, intensity 15

Atomic structure:
```
data_Li15Cd4Cu
_chemical_formula_sum 'Li15 Cd4 Cu1'
_symmetry_space_group_name_H-M 'P 1'
_symmetry_Int_Tables_number 1
_cell_length_a 4.0889
_cell_length_b 4.0889
_cell_length_c 21.3776
_cell_angle_alpha 90.00
_cell_angle_beta 90.00
_cell_angle_gamma 90.00
loop_
_symmetry_equiv_pos_as_xyz
'x,y,z'
loop_
_atom_site_label
_atom_site_type_symbol
_atom_site_fract_x
_atom_site_fract_y
_atom_site_fract_z
Li1 Li 0.0000 0.0000 0.0000
Li2 Li 0.0000 0.0000 0.1911
Li3 Li 0.0000 0.0000 0.3972
Li4 Li 0.0000 0.0000 0.6028
Li5 Li 0.0000 0.0000 0.8089
Li6 Li 0.0000 0.5000 0.0889
Li7 Li 0.0000 0.5000 0.2944
Li8 Li 0.0000 0.5000 0.5000
Li9 Li 0.0000 0.5000 0.7056
Li10 Li 0.0000 0.5000 0.9111
Li11 Li 0.5000 0.0000 0.0889
Li12 Li 0.5000 0.0000 0.2944
Li13 Li 0.5000 0.0000 0.5000
Li14 Li 0.5000 0.0000 0.7056
Li15 Li 0.5000 0.0000 0.9111
Cd1 Cd 0.5000 0.5000 0.1924
Cd2 Cd 0.5000 0.5000 0.3973
Cd3 Cd 0.5000 0.5000 0.6027
Cd4 Cd 0.5000 0.5000 0.8076
Cu1 Cu 0.5000 0.5000 0.0000
```

---

Entry 2:
Starting from a GGA-PBE-relaxed structure, the XRD peak list of LiCd3Cu8 was calculated for Cu Kα, 1.54184 Å.
Peak positions follow from Bragg's law for the DFT cell and can differ from measured ones.

Largest 12 diffraction maxima, by intensity, 10 to 90 degrees two-theta:
2θ = 42.39°, intensity 100; 2θ = 44.35°, intensity 34; 2θ = 42.57°, intensity 34; 2θ = 35.87°, intensity 24; 2θ = 36.04°, intensity 23; 2θ = 76.04°, intensity 16; 2θ = 68.96°, intensity 16; 2θ = 76.44°, intensity 15; 2θ = 69.07°, intensity 15; 2θ = 44.63°, intensity 11; 2θ = 10.89°, intensity 10; 2θ = 20.81°, intensity 9

Atomic structure:
```
data_LiCd3Cu8
_chemical_formula_sum 'Li1 Cd3 Cu8'
_symmetry_space_group_name_H-M 'P 1'
_symmetry_Int_Tables_number 1
_cell_length_a 8.6198
_cell_length_b 8.6198
_cell_length_c 8.6198
_cell_angle_alpha 33.77
_cell_angle_beta 33.77
_cell_angle_gamma 33.77
loop_
_symmetry_equiv_pos_as_xyz
'x,y,z'
loop_
_atom_site_label
_atom_site_type_symbol
_atom_site_fract_x
_atom_site_fract_y
_atom_site_fract_z
Li1 Li 0.0000 0.0000 0.0000
Cd1 Cd 0.3717 0.3717 0.3717
Cd2 Cd 0.4984 0.4984 0.4984
Cd3 Cd 0.8769 0.8769 0.8769
Cu1 Cu 0.1864 0.1864 0.1864
Cu2 Cu 0.4360 0.9364 0.9364
Cu3 Cu 0.4373 0.4373 0.9368
Cu4 Cu 0.4373 0.9368 0.4373
Cu5 Cu 0.6867 0.6867 0.6867
Cu6 Cu 0.9364 0.4360 0.9364
Cu7 Cu 0.9364 0.9364 0.4360
Cu8 Cu 0.9368 0.4373 0.4373
```

---

Entry 3:
Starting from a GGA-PBE-relaxed structure, the XRD peak list of LiCd5Cu was calculated for Cu Kα, 1.54184 Å.
Peak positions follow from Bragg's law for the DFT cell and can differ from measured ones.

Largest 12 diffraction maxima, by intensity, 10 to 90 degrees two-theta:
2θ = 37.84°, intensity 100; 2θ = 40.29°, intensity 49; 2θ = 23.40°, intensity 31; 2θ = 71.63°, intensity 28; 2θ = 28.19°, intensity 22; 2θ = 58.30°, intensity 16; 2θ = 30.86°, intensity 12; 2θ = 66.66°, intensity 10; 2θ = 24.72°, intensity 10; 2θ = 56.18°, intensity 10; 2θ = 47.12°, intensity 9; 2θ = 72.03°, intensity 9

Atomic structure:
```
data_LiCd5Cu
_chemical_formula_sum 'Li1 Cd5 Cu1'
_symmetry_space_group_name_H-M 'P 1'
_symmetry_Int_Tables_number 1
_cell_length_a 4.4765
_cell_length_b 4.4765
_cell_length_c 7.2028
_cell_angle_alpha 90.00
_cell_angle_beta 90.00
_cell_angle_gamma 90.00
loop_
_symmetry_equiv_pos_as_xyz
'x,y,z'
loop_
_atom_site_label
_atom_site_type_symbol
_atom_site_fract_x
_atom_site_fract_y
_atom_site_fract_z
Li1 Li 0.0000 0.0000 0.0000
Cd1 Cd 0.0000 0.5000 0.2871
Cd2 Cd 0.0000 0.5000 0.7129
Cd3 Cd 0.5000 0.0000 0.2871
Cd4 Cd 0.5000 0.0000 0.7129
Cd5 Cd 0.5000 0.5000 0.0000
Cu1 Cu 0.0000 0.0000 0.5000
```

---

Entry 4:
Starting from a GGA-PBE-relaxed structure, the XRD peak list of Li7Cd2Cu was calculated for Cu Kα, 1.54184 Å.
Peak positions follow from Bragg's law for the DFT cell and can differ from measured ones.

Largest 12 diffraction maxima, by intensity, 10 to 90 degrees two-theta:
2θ = 26.78°, intensity 100; 2θ = 47.30°, intensity 41; 2θ = 18.85°, intensity 28; 2θ = 38.24°, intensity 25; 2θ = 75.57°, intensity 19; 2θ = 62.37°, intensity 17; 2θ = 55.18°, intensity 16; 2θ = 32.95°, intensity 15; 2θ = 42.96°, intensity 13; 2θ = 16.31°, intensity 11; 2θ = 88.01°, intensity 10; 2θ = 58.85°, intensity 6

Atomic structure:
```
data_Li7Cd2Cu
_chemical_formula_sum 'Li7 Cd2 Cu1'
_symmetry_space_group_name_H-M 'P 1'
_symmetry_Int_Tables_number 1
_cell_length_a 6.6578
_cell_length_b 6.6578
_cell_length_c 6.6578
_cell_angle_alpha 60.00
_cell_angle_beta 60.00
_cell_angle_gamma 60.00
loop_
_symmetry_equiv_pos_as_xyz
'x,y,z'
loop_
_atom_site_label
_atom_site_type_symbol
_atom_site_fract_x
_atom_site_fract_y
_atom_site_fract_z
Li1 Li 0.0000 0.0000 0.0000
Li2 Li 0.2552 0.2552 0.7448
Li3 Li 0.2552 0.7448 0.2552
Li4 Li 0.2552 0.7448 0.7448
Li5 Li 0.7448 0.2552 0.2552
Li6 Li 0.7448 0.2552 0.7448
Li7 Li 0.7448 0.7448 0.2552
Cd1 Cd 0.2500 0.2500 0.2500
Cd2 Cd 0.7500 0.7500 0.7500
Cu1 Cu 0.5000 0.5000 0.5000
```

---

Entry 5:
Starting from a GGA-PBE-relaxed structure, the XRD peak list of Li7Cd3Cu was calculated for Cu Kα, 1.54184 Å.
Peak positions follow from Bragg's law for the DFT cell and can differ from measured ones.

Largest 12 diffraction maxima, by intensity, 10 to 90 degrees two-theta:
2θ = 15.74°, intensity 100; 2θ = 26.16°, intensity 53; 2θ = 26.42°, intensity 53; 2θ = 37.66°, intensity 44; 2θ = 21.59°, intensity 37; 2θ = 37.52°, intensity 36; 2θ = 30.68°, intensity 30; 2θ = 36.75°, intensity 28; 2θ = 40.93°, intensity 22; 2θ = 21.82°, intensity 22; 2θ = 31.41°, intensity 17; 2θ = 43.66°, intensity 17

Atomic structure:
```
data_Li7Cd3Cu
_chemical_formula_sum 'Li14 Cd6 Cu2'
_symmetry_space_group_name_H-M 'P 1'
_symmetry_Int_Tables_number 1
_cell_length_a 10.3248
_cell_length_b 10.3248
_cell_length_c 13.4927
_cell_angle_alpha 90.00
_cell_angle_beta 90.00
_cell_angle_gamma 163.61
loop_
_symmetry_equiv_pos_as_xyz
'x,y,z'
loop_
_atom_site_label
_atom_site_type_symbol
_atom_site_fract_x
_atom_site_fract_y
_atom_site_fract_z
Li1 Li 0.0190 0.9810 0.6408
Li2 Li 0.0190 0.9810 0.8592
Li3 Li 0.1099 0.8901 0.2500
Li4 Li 0.1580 0.8420 0.6202
Li5 Li 0.1580 0.8420 0.8798
Li6 Li 0.1992 0.8008 0.0702
Li7 Li 0.1992 0.8008 0.4298
Li8 Li 0.8008 0.1992 0.5702
Li9 Li 0.8008 0.1992 0.9298
Li10 Li 0.8420 0.1580 0.1202
Li11 Li 0.8420 0.1580 0.3798
Li12 Li 0.8901 0.1099 0.7500
Li13 Li 0.9810 0.0190 0.1408
Li14 Li 0.9810 0.0190 0.3592
Cd1 Cd 0.2591 0.7409 0.2500
Cd2 Cd 0.4215 0.5785 0.5301
Cd3 Cd 0.4215 0.5785 0.9699
Cd4 Cd 0.5785 0.4215 0.0301
Cd5 Cd 0.5785 0.4215 0.4699
Cd6 Cd 0.7409 0.2591 0.7500
Cu1 Cu 0.4020 0.5980 0.2500
Cu2 Cu 0.5980 0.4020 0.7500
```

---

Entry 6:
Starting from a GGA-PBE-relaxed structure, the XRD peak list of Mg8Cd2Cu was calculated for Cu Kα, 1.54184 Å.
Peak positions follow from Bragg's law for the DFT cell and can differ from measured ones.

Largest 12 diffraction maxima, by intensity, 10 to 90 degrees two-theta:
2θ = 35.77°, intensity 100; 2θ = 25.38°, intensity 28; 2θ = 17.05°, intensity 24; 2θ = 38.40°, intensity 24; 2θ = 38.59°, intensity 23; 2θ = 14.32°, intensity 19; 2θ = 67.74°, intensity 14; 2θ = 55.60°, intensity 13; 2θ = 42.81°, intensity 11; 2θ = 24.06°, intensity 11; 2θ = 24.88°, intensity 11; 2θ = 33.87°, intensity 10

Atomic structure:
```
data_Mg8Cd2Cu
_chemical_formula_sum 'Mg8 Cd2 Cu1'
_symmetry_space_group_name_H-M 'P 1'
_symmetry_Int_Tables_number 1
_cell_length_a 8.3376
_cell_length_b 8.3376
_cell_length_c 6.2324
_cell_angle_alpha 96.78
_cell_angle_beta 96.78
_cell_angle_gamma 32.66
loop_
_symmetry_equiv_pos_as_xyz
'x,y,z'
loop_
_atom_site_label
_atom_site_type_symbol
_atom_site_fract_x
_atom_site_fract_y
_atom_site_fract_z
Mg1 Mg 0.0330 0.0330 0.2640
Mg2 Mg 0.2198 0.2198 0.1426
Mg3 Mg 0.3384 0.3384 0.5923
Mg4 Mg 0.4128 0.4128 0.0850
Mg5 Mg 0.5872 0.5872 0.9150
Mg6 Mg 0.6616 0.6616 0.4077
Mg7 Mg 0.7802 0.7802 0.8574
Mg8 Mg 0.9670 0.9670 0.7360
Cd1 Cd 0.1549 0.1549 0.6813
Cd2 Cd 0.8451 0.8451 0.3187
Cu1 Cu 0.5000 0.5000 0.5000
```

---

What did the first record say?
Starting from a GGA-PBE-relaxed structure, the XRD peak list of Li15Cd4Cu was calculated for Cu Kα, 1.54184 Å.
Peak positions follow from Bragg's law for the DFT cell and can differ from measured ones.

Largest 12 diffraction maxima, by intensity, 10 to 90 degrees two-theta:
2θ = 21.73°, intensity 100; 2θ = 30.24°, intensity 85; 2θ = 37.55°, intensity 68; 2θ = 20.78°, intensity 54; 2θ = 30.93°, intensity 41; 2θ = 54.58°, intensity 31; 2θ = 44.31°, intensity 22; 2θ = 48.02°, intensity 21; 2θ = 49.41°, intensity 21; 2θ = 49.87°, intensity 21; 2θ = 77.05°, intensity 15; 2θ = 53.29°, intensity 15

Atomic structure:
```
data_Li15Cd4Cu
_chemical_formula_sum 'Li15 Cd4 Cu1'
_symmetry_space_group_name_H-M 'P 1'
_symmetry_Int_Tables_number 1
_cell_length_a 4.0889
_cell_length_b 4.0889
_cell_length_c 21.3776
_cell_angle_alpha 90.00
_cell_angle_beta 90.00
_cell_angle_gamma 90.00
loop_
_symmetry_equiv_pos_as_xyz
'x,y,z'
loop_
_atom_site_label
_atom_site_type_symbol
_atom_site_fract_x
_atom_site_fract_y
_atom_site_fract_z
Li1 Li 0.0000 0.0000 0.0000
Li2 Li 0.0000 0.0000 0.1911
Li3 Li 0.0000 0.0000 0.3972
Li4 Li 0.0000 0.0000 0.6028
Li5 Li 0.0000 0.0000 0.8089
Li6 Li 0.0000 0.5000 0.0889
Li7 Li 0.0000 0.5000 0.2944
Li8 Li 0.0000 0.5000 0.5000
Li9 Li 0.0000 0.5000 0.7056
Li10 Li 0.0000 0.5000 0.9111
Li11 Li 0.5000 0.0000 0.0889
Li12 Li 0.5000 0.0000 0.2944
Li13 Li 0.5000 0.0000 0.5000
Li14 Li 0.5000 0.0000 0.7056
Li15 Li 0.5000 0.0000 0.9111
Cd1 Cd 0.5000 0.5000 0.1924
Cd2 Cd 0.5000 0.5000 0.3973
Cd3 Cd 0.5000 0.5000 0.6027
Cd4 Cd 0.5000 0.5000 0.8076
Cu1 Cu 0.5000 0.5000 0.0000
```